1.
Starting from a structure optimized by DFT (GGA+U), the powder X-ray diffraction pattern of Ta2Mn2O7 was simulated for CuKα.
Lines closer than 0.1° are merged.

Crystal structure
Cell lengths 10.366, 10.366, 10.366 Å; angles 90.00, 90.00, 90.00 degrees
Space group Fd-3m (No. 227, origin choice 2)
Asymmetric unit:
Ta 0.000 0.000 0.000 x16
Mn 0.000 0.000 0.500 x16
O 0.071 0.375 0.375 x48
O 0.125 0.125 0.625 x8

Most intense lines, 10 to 80 degrees two-theta, sorted by position:
14.80 deg, I 42; 28.56 deg, I 29; 29.86 deg, I 100; 34.61 deg, I 33; 49.76 deg, I 45; 59.12 deg, I 43

***

2.
Starting from a structure optimized by DFT (GGA+U), the powder X-ray diffraction pattern of MgCu2W2O8 was simulated for CuKα.
Lines closer than 0.1° are merged.

Crystal structure
Cell lengths 6.677, 8.658, 12.686 Å; angles 90.00, 92.02, 90.00 degrees
Space group P2_1/c (No. 14)
Asymmetric unit:
Mg 0.110 0.162 0.053 x4
Cu 0.230 0.685 0.633 x4
Cu 0.376 0.052 0.618 x4
W 0.097 0.044 0.344 x4
W 0.388 0.578 0.370 x4
O 0.044 0.235 0.404 x4
O 0.079 0.109 0.614 x4
O 0.119 0.051 0.201 x4
O 0.179 0.568 0.464 x4
O 0.298 0.629 0.237 x4
O 0.340 0.513 0.898 x4
O 0.411 0.207 0.083 x4
O 0.495 0.111 0.864 x4

Most intense lines, 10 to 80 degrees two-theta, sorted by position:
18.37 deg, I 24; 20.52 deg, I 46; 27.39 deg, I 46; 28.13 deg, I 100; 29.31 deg, I 41; 29.77 deg, I 58

***

3.
Starting from a structure optimized by DFT (GGA+U), the powder X-ray diffraction pattern of FeTe3ClO7 was simulated for CuKα.
Lines closer than 0.1° are merged.

Crystal structure
Cell lengths 11.014, 7.485, 11.068 Å; angles 90.00, 111.50, 90.00 degrees
Space group P2_1/c (No. 14)
Asymmetric unit:
Fe 0.117 0.131 0.090 x4
Te 0.100 0.010 0.769 x4
Te 0.242 0.025 0.439 x4
Te 0.380 0.600 0.583 x4
Cl 0.492 0.218 0.617 x4
O 0.040 0.010 0.912 x4
O 0.091 0.610 0.837 x4
O 0.135 0.239 0.264 x4
O 0.152 0.142 0.533 x4
O 0.272 0.502 0.666 x4
O 0.287 0.509 0.412 x4
O 0.291 0.670 0.069 x4

Most intense lines, 10 to 80 degrees two-theta, sorted by position:
19.45 deg, I 82; 23.78 deg, I 62; 25.07 deg, I 100; 28.92 deg, I 69; 32.65 deg, I 79; 34.97 deg, I 64

***

4.
Starting from a structure optimized by DFT (GGA+U), the powder X-ray diffraction pattern of KMgNiIO6 was simulated for CuKα.
Lines closer than 0.1° are merged.

Crystal structure
Cell lengths 5.316, 9.172, 5.201 Å; angles 90.00, 90.17, 90.00 degrees
Space group C2 (No. 5)
Asymmetric unit:
K 0.000 0.000 0.000 x2
Mg 0.000 0.664 0.000 x2
Ni 0.000 0.668 0.500 x2
I 0.000 0.334 0.500 x2
O 0.105 0.494 0.719 x4
O 0.187 0.202 0.719 x4
O 0.209 0.807 0.718 x4

Most intense lines, 10 to 80 degrees two-theta, sorted by position:
17.05 deg, I 42; 19.32 deg, I 41; 25.87 deg, I 100; 33.82 deg, I 34; 38.13 deg, I 20; 49.09 deg, I 52